Starting from DFT lattice parameters and positions (GGA-PBE), the powder diffraction line list of Zn2PH2CO7 was simulated for Cu Ka.

Peak list (10 most intense, 2θ from 10° to 90°, in order of rising 2θ)
(hkl), two_theta, Rel. int.
0 0 2, 12.43, 100
1 1 1, 24.05, 70
1 1 -3, 25.52, 55
2 0 -4, 26.98, 53
2 1 -1, 28.96, 57
1 0 4, 31.97, 39
2 1 1, 32.99, 54
0 1 5, 36.55, 36
3 1 -7, 48.99, 31
3 2 -2, 50.61, 31

Crystal structure
a b c (Å): 8.053 4.872 15.530
angles (deg): 90.00 113.52 90.00
Space group P2_1/c (No. 14)
Inequivalent atoms, fractional coordinates:
Zn  0.055  0.005  0.367 x4
Zn  0.402  0.525  0.307 x4
P  0.197  0.529  0.701 x4
H  0.138  0.738  0.033 x4
H  0.282  0.000  0.534 x4
C  0.433  0.119  0.992 x4
O  0.052  0.648  0.609 x4
O  0.162  0.653  0.785 x4
O  0.194  0.210  0.698 x4
O  0.198  0.646  0.995 x4
O  0.341  0.191  0.908 x4
O  0.389  0.642  0.717 x4
O  0.425  0.228  0.065 x4

Starting from DFT lattice parameters and positions (GGA-PBE), the powder diffraction line list of H2PbC2O4 was simulated for Cu Ka.

Peak list (10 most intense, 2θ from 10° to 90°, in order of rising 2θ)
(hkl), two_theta, Rel. int.
0 1 1, 15.13, 49
1 0 1, 16.55, 100
0 2 0, 22.97, 40
1 1 2, 26.60, 61
1 2 1, 28.45, 62
2 1 0, 29.09, 31
0 1 3, 32.16, 52
2 2 0, 35.47, 28
3 1 1, 43.44, 26
1 1 4, 44.29, 30

Crystal structure
a b c (Å): 6.688 7.743 8.948
angles (deg): 90.00 90.00 90.00
Space group P2_12_12_1 (No. 19)
Inequivalent atoms, fractional coordinates:
H  0.007  0.031  0.225 x4
H  0.240  0.288  0.991 x4
Pb  0.071  0.755  0.832 x4
C  0.079  0.613  0.197 x4
C  0.246  0.145  0.994 x4
O  0.012  0.231  0.373 x4
O  0.147  0.067  0.894 x4
O  0.149  0.926  0.596 x4
O  0.236  0.426  0.684 x4